This entry pairs a crystal structure of SmFe2PO8 with its simulated X-ray diffraction stick pattern. Radiation: Cu Kα (λ = 1.5418 Å). Structure: the PBE+U geometry in Alexandria.
Neutral-atom scattering factors, no anomalous dispersion.

Top 10 peaks for 2θ = 10–90°, in order of rising 2θ:
(1 0 0), 18.75°, intensity 71; (1 0 1), 24.15°, intensity 100; (0 0 2), 30.42°, intensity 17; (1 1 0), 32.78°, intensity 87; (0 1 2), 35.98°, intensity 27; (2 0 1), 41.13°, intensity 45; (1 1 2), 45.33°, intensity 59; (1 0 3), 50.42°, intensity 26; (2 1 1), 53.56°, intensity 30; (0 3 2), 67.39°, intensity 18

Crystal structure
abc: 5.464 5.464 5.877
angles: 90.00 90.00 120.00
Element x y z (fractional)
Sm 0.000 0.000 0.000
Fe 0.333 0.667 0.524
Fe 0.667 0.333 0.476
P 0.000 0.000 0.500
O 0.148 0.295 0.671
O 0.148 0.852 0.671
O 0.295 0.148 0.329
O 0.333 0.667 0.205
O 0.667 0.333 0.795
O 0.705 0.852 0.671
O 0.852 0.148 0.329
O 0.852 0.705 0.329